The following is a computed powder diffraction line list of Er3Ga8Ag3. It was derived from a structure optimized by DFT (PBE), using Cu Kα (weighted mean of Kα1 and Kα2).

Unit cell a=8.2822 b=8.2822 c=8.2822 alpha=149.32 beta=109.64 gamma=78.69
Element x y z (fractional)
Er: 0.0000 0.0000 0.0000
Er: 0.2953 0.2953 0.0000
Er: 0.7047 0.7047 0.0000
Ga: 0.0264 0.6573 0.3690
Ga: 0.1389 0.8582 0.2808
Ga: 0.2883 0.6573 0.6310
Ga: 0.4226 0.1418 0.2808
Ga: 0.5774 0.8582 0.7192
Ga: 0.7117 0.3427 0.3690
Ga: 0.8611 0.1418 0.7192
Ga: 0.9736 0.3427 0.6310
Ag: 0.3127 0.5000 0.8127
Ag: 0.5000 0.0000 0.5000
Ag: 0.6873 0.5000 0.1873

Largest 10 diffraction maxima, by angle, 2θ = 10–90°:
2θ/deg	intensity
33.71	15
34.85	100
35.18	17
35.99	20
37.67	31
41.20	32
42.33	15
43.78	12
68.02	15
71.01	12